Theoretical PXRD pattern of BaCdPbF6 for Cu Kα (weighted mean of Kα1 and Kα2), from a DFT-relaxed cell (GGA-PBE, Alexandria).

Principal peaks in the range 15 to 90 degrees two-theta, by angle:
Position (°2θ)	I_rel	hkl
16.1	18	0 0 1
23.1	100	1 0 1
28.6	49	1 1 0
33.0	19	2 -1 1
37.1	29	2 0 1
43.9	51	2 -1 2
47.5	29	3 -1 1
50.7	20	3 0 0
64.5	12	3 1 1
69.3	13	2 2 2

Atomic structure:
Cell: 6.2371 6.2371 5.4945 Å, 90.00 90.00 120.00°
Positions (direct):
1 Ba 0.0000 0.0000 0.0000
2 Cd 0.6667 0.3333 0.5000
3 Pb 0.3333 0.6667 0.5000
4 F 0.3590 0.0223 0.7227
5 F 0.3590 0.3368 0.2773
6 F 0.6632 0.0223 0.2773
7 F 0.6632 0.6410 0.7227
8 F 0.9777 0.3368 0.7227
9 F 0.9777 0.6410 0.2773